# 1
Structure and simulated XRD peak list of BaPu2NbO8 (the PBE geometry in Alexandria; Cu Kα X-rays).
No peak broadening, texture or thermal motion is included.

The 10 most intense peaks (10 to 80 degrees two-theta), by angle:
- hkl 0 0 1, d 5.138, I = 27
- hkl 1 0 -1, d 3.701, I = 57
- hkl 1 0 1, d 3.570, I = 50
- hkl 1 2 0, d 2.923, I = 100
- hkl 0 0 2, d 2.569, I = 30
- hkl 2 2 -1, d 1.950, I = 40
- hkl 2 2 1, d 1.910, I = 36
- hkl 1 4 1, d 1.591, I = 11
- hkl 0 2 3, d 1.543, I = 22
- hkl 0 4 2, d 1.461, I = 13

Cell and atoms:
abc: 5.137 7.107 5.146
angles: 90.00 92.07 90.00
Space group P2/m (No. 10)
Unique sites:
Ba 0.000 0.000 0.000
Pu 0.500 0.258 0.500
Nb 0.000 0.500 0.000
O 0.200 0.303 0.197
O 0.295 0.500 0.704
O 0.337 0.000 0.658

# 2
Structure and simulated XRD peak list of Ba2NbRh3O12 (the PBE geometry in Alexandria; Cu Kα X-rays).
No peak broadening, texture or thermal motion is included.

The 10 most intense peaks (10 to 80 degrees two-theta), by angle:
- hkl 1 0 4, d 3.647, I = 28
- hkl 1 1 0, d 3.548, I = 21
- hkl 0 1 5, d 3.122, I = 64
- hkl 1 1 3, d 3.059, I = 100
- hkl 0 2 1, d 3.027, I = 78
- hkl 2 0 2, d 2.910, I = 56
- hkl 1 2 5, d 1.955, I = 23
- hkl 3 0 3, d 1.940, I = 28
- hkl 2 0 8, d 1.823, I = 43
- hkl 2 2 0, d 1.774, I = 44

Cell and atoms:
abc: 7.0951 7.0951 18.1229
angles: 90.00 90.00 120.00
Space group R-3m (No. 166, hexagonal axes)
Unique sites:
Ba 0.0000 0.0000 0.1193
Nb 0.0000 0.0000 0.5000
Rh 0.0000 0.5000 0.0000
O 0.0560 0.5280 0.1085
O 0.0568 0.5284 0.3539

# 3
Structure and simulated XRD peak list of Ba2Nb3RhO12 (the PBE geometry in Alexandria; Cu Kα X-rays).
No peak broadening, texture or thermal motion is included.

The 10 most intense peaks (10 to 80 degrees two-theta), by angle:
- hkl 1 0 1, d 6.105, I = 21
- hkl 0 1 2, d 5.257, I = 16
- hkl 1 1 0, d 3.750, I = 21
- hkl 0 2 1, d 3.195, I = 23
- hkl 1 1 3, d 3.175, I = 100
- hkl 0 0 6, d 2.984, I = 26
- hkl 3 0 3, d 2.035, I = 31
- hkl 2 2 0, d 1.875, I = 26
- hkl 1 1 9, d 1.757, I = 17
- hkl 2 2 6, d 1.587, I = 24

Cell and atoms:
abc: 7.4994 7.4994 17.9025
angles: 90.00 90.00 120.00
Space group R-3m (No. 166, hexagonal axes)
Unique sites:
Ba 0.0000 0.0000 0.1722
Nb 0.0000 0.5000 0.0000
Rh 0.0000 0.0000 0.5000
O 0.0781 0.5391 0.1078
O 0.0872 0.5436 0.3619

# 4
Structure and simulated XRD peak list of BaSrNbSbO6 (the PBE geometry in Alexandria; Cu Kα X-rays).
No peak broadening, texture or thermal motion is included.

The 10 most intense peaks (10 to 80 degrees two-theta), by angle:
- hkl 1 1 2, d 3.014, I = 65
- hkl -1 1 2, d 3.000, I = 100
- hkl 1 1 -2, d 2.989, I = 32
- hkl 0 0 4, d 2.123, I = 56
- hkl 0 2 4, d 1.741, I = 13
- hkl 2 0 4, d 1.738, I = 22
- hkl 3 -1 2, d 1.733, I = 19
- hkl -3 1 2, d 1.728, I = 22
- hkl -2 2 4, d 1.501, I = 10
- hkl -1 1 6, d 1.342, I = 15

Cell and atoms:
abc: 5.996 6.018 8.490
angles: 89.64 89.57 89.91
Space group P-1 (No. 2)
Unique sites:
Ba 0.004 0.022 0.250
Sr 0.494 0.530 0.249
Nb 0.000 0.500 0.500
Nb 0.500 0.000 0.000
Sb 0.000 0.500 0.000
Sb 0.500 0.000 0.500
O 0.080 0.494 0.733
O 0.207 0.762 0.468
O 0.231 0.799 0.023
O 0.264 0.296 0.452
O 0.307 0.274 0.045
O 0.443 0.041 0.766